Structure and simulated XRD peak list of K2AlMoO6 (the PBE+U geometry in Alexandria; λ = 1.5418 Å (Cu Kα)).

Cell and atoms:
Cell: 5.7118 5.7118 27.8644 Å, 90.00 90.00 120.00°
Space group R-3m (No. 166, hexagonal axes)
Asymmetric unit:
K  0.0000  0.0000  0.1297 [6 per cell]
K  0.0000  0.0000  0.2826 [6 per cell]
Al  0.0000  0.0000  0.4037 [6 per cell]
Mo  0.0000  0.0000  0.0000 [3 per cell]
Mo  0.0000  0.0000  0.5000 [3 per cell]
O  0.0036  0.5018  0.7058 [18 per cell]
O  0.0365  0.5183  0.1214 [18 per cell]

Main lines, sorted by position (2θ from 10° to 90°):
- d 4.659, 19.05 deg, intensity 70, (0 1 2)
- d 4.033, 22.04 deg, intensity 29, (1 0 4)
- d 2.853, 31.35 deg, intensity 100, (1 1 0)
- d 2.428, 37.03 deg, intensity 14, (1 0 10)
- d 2.261, 39.88 deg, intensity 14, (2 0 5)
- d 2.101, 43.06 deg, intensity 23, (0 2 7)
- d 2.017, 44.95 deg, intensity 17, (2 0 8)
- d 1.850, 49.24 deg, intensity 24, (0 2 10)
- d 1.648, 55.78 deg, intensity 25, (3 0 0)
- d 1.428, 65.35 deg, intensity 18, (2 2 0)